NpPaGe: theoretical X-ray diffraction stick pattern (a wavelength of 1.5418 Å), based on the PBE geometry in OQMD.
Neutral-atom scattering factors, no anomalous dispersion.

Cell and atoms:
```
data_NpPaGe
_chemical_formula_sum 'Np4 Pa4 Ge4'
_cell_length_a 6.7912
_cell_length_b 6.7912
_cell_length_c 6.7912
_cell_angle_alpha 90.00
_cell_angle_beta 90.00
_cell_angle_gamma 90.00
_space_group_name_H-M_alt 'P 1'
_space_group_IT_number 1
loop_
_space_group_symop_operation_xyz
'x,y,z'
loop_
_atom_site_label
_atom_site_type_symbol
_atom_site_fract_x
_atom_site_fract_y
_atom_site_fract_z
Np1 Np 0.0000 0.0000 0.0000
Np2 Np 0.0000 0.5000 0.5000
Np3 Np 0.5000 0.0000 0.5000
Np4 Np 0.5000 0.5000 0.0000
Pa1 Pa 0.0000 0.0000 0.5000
Pa2 Pa 0.0000 0.5000 0.0000
Pa3 Pa 0.5000 0.0000 0.0000
Pa4 Pa 0.5000 0.5000 0.5000
Ge1 Ge 0.2500 0.2500 0.2500
Ge2 Ge 0.2500 0.7500 0.7500
Ge3 Ge 0.7500 0.2500 0.7500
Ge4 Ge 0.7500 0.7500 0.2500
```

Peak list (12 most intense, 10 to 90 degrees two-theta, by intensity)
2θ 37.46, I = 1000
2θ 26.25, I = 636
2θ 67.58, I = 367
2θ 61.02, I = 260
2θ 46.31, I = 192
2θ 54.01, I = 178
2θ 85.86, I = 133
2θ 79.91, I = 116
2θ 22.68, I = 50
2θ 44.23, I = 25
2θ 59.32, I = 10
2θ 72.29, I = 8

***

GeOs2O4: theoretical X-ray diffraction stick pattern (a wavelength of 1.5418 Å), based on the PBE geometry in OQMD.
Neutral-atom scattering factors, no anomalous dispersion.

Cell and atoms:
```
data_GeOs2O4
_chemical_formula_sum 'Ge2 Os4 O8'
_cell_length_a 6.2937
_cell_length_b 6.2937
_cell_length_c 6.2937
_cell_angle_alpha 60.00
_cell_angle_beta 60.00
_cell_angle_gamma 60.00
_space_group_name_H-M_alt 'P 1'
_space_group_IT_number 1
loop_
_space_group_symop_operation_xyz
'x,y,z'
loop_
_atom_site_label
_atom_site_type_symbol
_atom_site_fract_x
_atom_site_fract_y
_atom_site_fract_z
Ge1 Ge 0.1250 0.1250 0.1250
Ge2 Ge 0.8750 0.8750 0.8750
Os1 Os 0.0000 0.5000 0.5000
Os2 Os 0.5000 0.0000 0.5000
Os3 Os 0.5000 0.5000 0.0000
Os4 Os 0.5000 0.5000 0.5000
O1 O 0.2655 0.2655 0.2655
O2 O 0.2655 0.2655 0.7035
O3 O 0.2655 0.7035 0.2655
O4 O 0.2965 0.7345 0.7345
O5 O 0.7035 0.2655 0.2655
O6 O 0.7345 0.2965 0.7345
O7 O 0.7345 0.7345 0.2965
O8 O 0.7345 0.7345 0.7345
```

Peak list (12 most intense, 10 to 90 degrees two-theta, by intensity)
2θ 33.39, I = 1000
2θ 17.26, I = 606
2θ 34.92, I = 507
2θ 58.68, I = 439
2θ 53.49, I = 389
2θ 40.54, I = 336
2θ 70.13, I = 240
2θ 83.41, I = 219
2θ 69.22, I = 126
2θ 61.65, I = 125
2θ 44.36, I = 118
2θ 28.36, I = 85

***

Pr3GePO9: theoretical X-ray diffraction stick pattern (a wavelength of 1.5418 Å), based on the PBE geometry in OQMD.
Neutral-atom scattering factors, no anomalous dispersion.

Cell and atoms:
```
data_Pr3GePO9
_chemical_formula_sum 'Pr12 Ge4 P4 O36'
_cell_length_a 7.0395
_cell_length_b 12.4693
_cell_length_c 9.7677
_cell_angle_alpha 90.00
_cell_angle_beta 116.43
_cell_angle_gamma 90.00
_space_group_name_H-M_alt 'P 1'
_space_group_IT_number 1
loop_
_space_group_symop_operation_xyz
'x,y,z'
loop_
_atom_site_label
_atom_site_type_symbol
_atom_site_fract_x
_atom_site_fract_y
_atom_site_fract_z
Pr1 Pr 0.0366 0.1329 0.3702
Pr2 Pr 0.0366 0.3671 0.8702
Pr3 Pr 0.3618 0.6104 0.8746
Pr4 Pr 0.3618 0.8896 0.3746
Pr5 Pr 0.3868 0.1298 0.1451
Pr6 Pr 0.3868 0.3702 0.6451
Pr7 Pr 0.6132 0.6298 0.3549
Pr8 Pr 0.6132 0.8702 0.8549
Pr9 Pr 0.6382 0.1104 0.6254
Pr10 Pr 0.6382 0.3896 0.1254
Pr11 Pr 0.9634 0.6329 0.1298
Pr12 Pr 0.9634 0.8671 0.6298
Ge1 Ge 0.1948 0.1039 0.7362
Ge2 Ge 0.1948 0.3961 0.2362
Ge3 Ge 0.8052 0.6039 0.7638
Ge4 Ge 0.8052 0.8961 0.2638
P1 P 0.2239 0.6646 0.5247
P2 P 0.2239 0.8354 0.0247
P3 P 0.7761 0.1646 0.9753
P4 P 0.7761 0.3354 0.4753
O1 O 0.0023 0.1613 0.1082
O2 O 0.0023 0.3387 0.6082
O3 O 0.0640 0.5746 0.9163
O4 O 0.0640 0.9254 0.4163
O5 O 0.1644 0.1756 0.8782
O6 O 0.1644 0.3244 0.3782
O7 O 0.2491 0.7466 0.6537
O8 O 0.2491 0.7534 0.1537
O9 O 0.2805 0.5551 0.6074
O10 O 0.2805 0.9449 0.1074
O11 O 0.2920 0.5275 0.2797
O12 O 0.2920 0.9725 0.7797
O13 O 0.3145 0.1741 0.6352
O14 O 0.3145 0.3259 0.1352
O15 O 0.3706 0.0790 0.3764
O16 O 0.3706 0.4210 0.8764
O17 O 0.3797 0.7024 0.4631
O18 O 0.3797 0.7976 0.9631
O19 O 0.6203 0.2024 0.0369
O20 O 0.6203 0.2976 0.5369
O21 O 0.6294 0.5790 0.1236
O22 O 0.6294 0.9210 0.6236
O23 O 0.6855 0.6741 0.8648
O24 O 0.6855 0.8259 0.3648
O25 O 0.7080 0.0275 0.2203
O26 O 0.7080 0.4725 0.7203
O27 O 0.7195 0.0551 0.8926
O28 O 0.7195 0.4449 0.3926
O29 O 0.7509 0.2466 0.8463
O30 O 0.7509 0.2534 0.3463
O31 O 0.8356 0.6756 0.6218
O32 O 0.8356 0.8244 0.1218
O33 O 0.9360 0.0746 0.5837
O34 O 0.9360 0.4254 0.0837
O35 O 0.9977 0.6613 0.3918
O36 O 0.9977 0.8387 0.8918
```

Peak list (12 most intense, 10 to 90 degrees two-theta, by intensity)
2θ 29.24, I = 1000
2θ 28.64, I = 871
2θ 30.46, I = 619
2θ 28.34, I = 503
2θ 26.42, I = 405
2θ 51.06, I = 373
2θ 30.99, I = 339
2θ 44.57, I = 302
2θ 20.17, I = 283
2θ 53.85, I = 256
2θ 36.80, I = 249
2θ 12.36, I = 204

***

TbGePO: theoretical X-ray diffraction stick pattern (a wavelength of 1.5418 Å), based on the PBE geometry in OQMD.
Neutral-atom scattering factors, no anomalous dispersion.

Cell and atoms:
```
data_TbGePO
_chemical_formula_sum 'Tb2 Ge2 P2 O2'
_cell_length_a 3.7481
_cell_length_b 6.0854
_cell_length_c 6.8952
_cell_angle_alpha 90.00
_cell_angle_beta 90.00
_cell_angle_gamma 90.00
_space_group_name_H-M_alt 'P 1'
_space_group_IT_number 1
loop_
_space_group_symop_operation_xyz
'x,y,z'
loop_
_atom_site_label
_atom_site_type_symbol
_atom_site_fract_x
_atom_site_fract_y
_atom_site_fract_z
Tb1 Tb 0.0000 0.2307 0.0000
Tb2 Tb 0.0000 0.7693 0.5000
Ge1 Ge 0.5000 0.3841 0.5945
Ge2 Ge 0.5000 0.6159 0.0945
P1 P 0.0000 0.2320 0.4196
P2 P 0.0000 0.7680 0.9196
O1 O 0.5000 0.2242 0.8320
O2 O 0.5000 0.7758 0.3320
```

Peak list (12 most intense, 10 to 90 degrees two-theta, by intensity)
2θ 30.87, I = 1000
2θ 46.63, I = 527
2θ 25.84, I = 507
2θ 19.46, I = 505
2θ 35.37, I = 356
2θ 29.35, I = 352
2θ 48.83, I = 295
2θ 38.09, I = 294
2θ 39.50, I = 232
2θ 66.32, I = 209
2θ 48.58, I = 183
2θ 55.83, I = 171

***

GePdSO: theoretical X-ray diffraction stick pattern (a wavelength of 1.5418 Å), based on the PBE geometry in OQMD.
Neutral-atom scattering factors, no anomalous dispersion.

Cell and atoms:
```
data_GePdSO
_chemical_formula_sum 'Ge4 Pd4 S4 O4'
_cell_length_a 7.2989
_cell_length_b 6.1732
_cell_length_c 5.5634
_cell_angle_alpha 90.00
_cell_angle_beta 90.00
_cell_angle_gamma 90.00
_space_group_name_H-M_alt 'P 1'
_space_group_IT_number 1
loop_
_space_group_symop_operation_xyz
'x,y,z'
loop_
_atom_site_label
_atom_site_type_symbol
_atom_site_fract_x
_atom_site_fract_y
_atom_site_fract_z
Ge1 Ge 0.1249 0.0808 0.0000
Ge2 Ge 0.3751 0.0808 0.5000
Ge3 Ge 0.6249 0.9192 0.0000
Ge4 Ge 0.8751 0.9192 0.5000
Pd1 Pd 0.0689 0.6963 0.0285
Pd2 Pd 0.4311 0.6963 0.5285
Pd3 Pd 0.5689 0.3037 0.0285
Pd4 Pd 0.9311 0.3037 0.5285
S1 S 0.0910 0.6553 0.5795
S2 S 0.4090 0.6553 0.0795
S3 S 0.5910 0.3447 0.5795
S4 S 0.9090 0.3447 0.0795
O1 O 0.1999 0.1903 0.7066
O2 O 0.3001 0.1903 0.2066
O3 O 0.6999 0.8097 0.7066
O4 O 0.8001 0.8097 0.2066
```

Peak list (12 most intense, 10 to 90 degrees two-theta, by intensity)
2θ 29.27, I = 1000
2θ 32.18, I = 918
2θ 35.46, I = 537
2θ 31.47, I = 528
2θ 24.76, I = 416
2θ 55.57, I = 388
2θ 48.81, I = 362
2θ 39.83, I = 309
2θ 58.61, I = 300
2θ 47.59, I = 282
2θ 32.74, I = 258
2θ 24.39, I = 244

***

Tb2Ge4PdO12: theoretical X-ray diffraction stick pattern (a wavelength of 1.5418 Å), based on the PBE geometry in OQMD.
Neutral-atom scattering factors, no anomalous dispersion.

Cell and atoms:
```
data_Tb2Ge4PdO12
_chemical_formula_sum 'Tb2 Ge4 Pd1 O12'
_cell_length_a 4.9132
_cell_length_b 7.2361
_cell_length_c 7.9171
_cell_angle_alpha 67.72
_cell_angle_beta 87.82
_cell_angle_gamma 77.23
_space_group_name_H-M_alt 'P 1'
_space_group_IT_number 1
loop_
_space_group_symop_operation_xyz
'x,y,z'
loop_
_atom_site_label
_atom_site_type_symbol
_atom_site_fract_x
_atom_site_fract_y
_atom_site_fract_z
Tb1 Tb 0.0485 0.2679 0.4519
Tb2 Tb 0.9515 0.7321 0.5481
Ge1 Ge 0.4144 0.8934 0.7961
Ge2 Ge 0.4512 0.6697 0.2209
Ge3 Ge 0.5488 0.3303 0.7791
Ge4 Ge 0.5856 0.1066 0.2039
Pd1 Pd 0.0000 0.5000 0.0000
O1 O 0.2151 0.9249 0.6064
O2 O 0.2192 0.5680 0.3831
O3 O 0.2492 0.2536 0.1945
O4 O 0.2661 0.8367 0.0107
O5 O 0.2722 0.5210 0.7959
O6 O 0.4052 0.1672 0.7020
O7 O 0.5948 0.8328 0.2980
O8 O 0.7278 0.4790 0.2041
O9 O 0.7339 0.1633 0.9893
O10 O 0.7508 0.7464 0.8055
O11 O 0.7808 0.4320 0.6169
O12 O 0.7849 0.0751 0.3936
```

Peak list (12 most intense, 10 to 90 degrees two-theta, by intensity)
2θ 28.03, I = 1000
2θ 31.53, I = 602
2θ 34.05, I = 516
2θ 25.39, I = 501
2θ 29.98, I = 463
2θ 36.66, I = 247
2θ 21.67, I = 229
2θ 34.76, I = 216
2θ 52.55, I = 203
2θ 12.10, I = 191
2θ 62.59, I = 187
2θ 50.07, I = 182

***

GeTePdO: theoretical X-ray diffraction stick pattern (a wavelength of 1.5418 Å), based on the PBE geometry in OQMD.
Neutral-atom scattering factors, no anomalous dispersion.

Cell and atoms:
```
data_GeTePdO
_chemical_formula_sum 'Ge8 Te8 Pd8 O8'
_cell_length_a 6.5957
_cell_length_b 11.2634
_cell_length_c 8.2951
_cell_angle_alpha 90.00
_cell_angle_beta 90.00
_cell_angle_gamma 90.00
_space_group_name_H-M_alt 'P 1'
_space_group_IT_number 1
loop_
_space_group_symop_operation_xyz
'x,y,z'
loop_
_atom_site_label
_atom_site_type_symbol
_atom_site_fract_x
_atom_site_fract_y
_atom_site_fract_z
Ge1 Ge 0.2475 0.1690 0.0069
Ge2 Ge 0.2475 0.3310 0.5069
Ge3 Ge 0.2525 0.6690 0.0069
Ge4 Ge 0.2525 0.8310 0.5069
Ge5 Ge 0.7475 0.1690 0.4931
Ge6 Ge 0.7475 0.3310 0.9931
Ge7 Ge 0.7525 0.6690 0.4931
Ge8 Ge 0.7525 0.8310 0.9931
Te1 Te 0.9999 0.0675 0.7495
Te2 Te 0.9999 0.4325 0.2495
Te3 Te 0.0001 0.5675 0.7505
Te4 Te 0.0001 0.9325 0.2505
Te5 Te 0.4999 0.0675 0.7505
Te6 Te 0.4999 0.4325 0.2505
Te7 Te 0.5001 0.5675 0.7495
Te8 Te 0.5001 0.9325 0.2495
Pd1 Pd 0.0019 0.6798 0.2502
Pd2 Pd 0.0019 0.8202 0.7502
Pd3 Pd 0.4981 0.1798 0.2502
Pd4 Pd 0.4981 0.3202 0.7502
Pd5 Pd 0.5019 0.6798 0.2498
Pd6 Pd 0.5019 0.8202 0.7498
Pd7 Pd 0.9981 0.1798 0.2498
Pd8 Pd 0.9981 0.3202 0.7498
O1 O 0.2477 0.1833 0.4067
O2 O 0.2477 0.3167 0.9067
O3 O 0.2523 0.6833 0.4067
O4 O 0.2523 0.8167 0.9067
O5 O 0.7477 0.1833 0.0933
O6 O 0.7477 0.3167 0.5933
O7 O 0.7523 0.6833 0.0933
O8 O 0.7523 0.8167 0.5933
```

Peak list (12 most intense, 10 to 90 degrees two-theta, by intensity)
2θ 34.75, I = 1000
2θ 43.65, I = 739
2θ 33.61, I = 648
2θ 21.42, I = 398
2θ 54.17, I = 355
2θ 46.00, I = 193
2θ 27.04, I = 191
2θ 66.69, I = 169
2θ 23.38, I = 159
2θ 77.17, I = 141
2θ 55.75, I = 132
2θ 72.00, I = 106

***

PrScGeO5: theoretical X-ray diffraction stick pattern (a wavelength of 1.5418 Å), based on the PBE geometry in OQMD.
Neutral-atom scattering factors, no anomalous dispersion.

Cell and atoms:
```
data_PrScGeO5
_chemical_formula_sum 'Pr2 Sc2 Ge2 O10'
_cell_length_a 5.6274
_cell_length_b 5.8537
_cell_length_c 7.1618
_cell_angle_alpha 105.90
_cell_angle_beta 99.64
_cell_angle_gamma 107.87
_space_group_name_H-M_alt 'P 1'
_space_group_IT_number 1
loop_
_space_group_symop_operation_xyz
'x,y,z'
loop_
_atom_site_label
_atom_site_type_symbol
_atom_site_fract_x
_atom_site_fract_y
_atom_site_fract_z
Pr1 Pr 0.1536 0.3152 0.2845
Pr2 Pr 0.8464 0.6848 0.7155
Sc1 Sc 0.5000 0.0000 0.0000
Sc2 Sc 0.5000 0.0000 0.5000
Ge1 Ge 0.1854 0.3326 0.7671
Ge2 Ge 0.8146 0.6674 0.2329
O1 O 0.0909 0.7519 0.4428
O2 O 0.1817 0.1241 0.9038
O3 O 0.2103 0.6335 0.9206
O4 O 0.4172 0.0938 0.2610
O5 O 0.4328 0.3418 0.6419
O6 O 0.5672 0.6582 0.3581
O7 O 0.5828 0.9062 0.7390
O8 O 0.7897 0.3665 0.0794
O9 O 0.8183 0.8759 0.0962
O10 O 0.9091 0.2481 0.5572
```

Peak list (12 most intense, 10 to 90 degrees two-theta, by intensity)
2θ 28.50, I = 1000
2θ 27.74, I = 674
2θ 32.14, I = 624
2θ 32.55, I = 556
2θ 32.28, I = 532
2θ 26.93, I = 375
2θ 31.09, I = 303
2θ 43.34, I = 241
2θ 54.29, I = 234
2θ 40.22, I = 219
2θ 36.82, I = 217
2θ 35.63, I = 215

***

GePt2O4: theoretical X-ray diffraction stick pattern (a wavelength of 1.5418 Å), based on the PBE geometry in OQMD.
Neutral-atom scattering factors, no anomalous dispersion.

Cell and atoms:
```
data_GePt2O4
_chemical_formula_sum 'Ge2 Pt4 O8'
_cell_length_a 7.8966
_cell_length_b 6.4636
_cell_length_c 6.0424
_cell_angle_alpha 78.23
_cell_angle_beta 53.26
_cell_angle_gamma 48.51
_space_group_name_H-M_alt 'P 1'
_space_group_IT_number 1
loop_
_space_group_symop_operation_xyz
'x,y,z'
loop_
_atom_site_label
_atom_site_type_symbol
_atom_site_fract_x
_atom_site_fract_y
_atom_site_fract_z
Ge1 Ge 0.1250 0.1250 0.1250
Ge2 Ge 0.8750 0.8750 0.8750
Pt1 Pt 0.2404 0.5096 0.2404
Pt2 Pt 0.4904 0.7596 0.4904
Pt3 Pt 0.5096 0.2404 0.5096
Pt4 Pt 0.7596 0.4904 0.7596
O1 O 0.1574 0.2505 0.3307
O2 O 0.2386 0.6693 0.7495
O3 O 0.2505 0.1574 0.7614
O4 O 0.3307 0.7614 0.1574
O5 O 0.6693 0.2386 0.8426
O6 O 0.7495 0.8426 0.2386
O7 O 0.7614 0.3307 0.2505
O8 O 0.8426 0.7495 0.6693
```

Peak list (12 most intense, 10 to 90 degrees two-theta, by intensity)
2θ 30.69, I = 1000
2θ 35.35, I = 540
2θ 19.35, I = 373
2θ 49.52, I = 372
2θ 37.82, I = 276
2θ 33.55, I = 211
2θ 46.12, I = 180
2θ 57.70, I = 161
2θ 55.82, I = 134
2θ 64.02, I = 133
2θ 60.56, I = 92
2θ 68.42, I = 87

***

GePtSO: theoretical X-ray diffraction stick pattern (a wavelength of 1.5418 Å), based on the PBE geometry in OQMD.
Neutral-atom scattering factors, no anomalous dispersion.

Cell and atoms:
```
data_GePtSO
_chemical_formula_sum 'Ge8 Pt8 S8 O8'
_cell_length_a 6.1422
_cell_length_b 6.4351
_cell_length_c 15.8727
_cell_angle_alpha 90.00
_cell_angle_beta 90.00
_cell_angle_gamma 90.00
_space_group_name_H-M_alt 'P 1'
_space_group_IT_number 1
loop_
_space_group_symop_operation_xyz
'x,y,z'
loop_
_atom_site_label
_atom_site_type_symbol
_atom_site_fract_x
_atom_site_fract_y
_atom_site_fract_z
Ge1 Ge 0.0944 0.2115 0.2004
Ge2 Ge 0.0944 0.2885 0.7004
Ge3 Ge 0.4056 0.7115 0.2004
Ge4 Ge 0.4056 0.7885 0.7004
Ge5 Ge 0.5944 0.2115 0.2996
Ge6 Ge 0.5944 0.2885 0.7996
Ge7 Ge 0.9056 0.7115 0.2996
Ge8 Ge 0.9056 0.7885 0.7996
Pt1 Pt 0.0186 0.2493 0.0480
Pt2 Pt 0.0186 0.2507 0.5480
Pt3 Pt 0.4814 0.7493 0.0480
Pt4 Pt 0.4814 0.7507 0.5480
Pt5 Pt 0.5186 0.2493 0.4520
Pt6 Pt 0.5186 0.2507 0.9520
Pt7 Pt 0.9814 0.7493 0.4520
Pt8 Pt 0.9814 0.7507 0.9520
S1 S 0.2469 0.0003 0.4879
S2 S 0.2469 0.4997 0.9879
S3 S 0.2531 0.9997 0.9879
S4 S 0.2531 0.5003 0.4879
S5 S 0.7469 0.0003 0.0121
S6 S 0.7469 0.4997 0.5121
S7 S 0.7531 0.9997 0.5121
S8 S 0.7531 0.5003 0.0121
O1 O 0.1395 0.6619 0.7390
O2 O 0.1395 0.8381 0.2390
O3 O 0.3605 0.1619 0.7390
O4 O 0.3605 0.3381 0.2390
O5 O 0.6395 0.6619 0.7610
O6 O 0.6395 0.8381 0.2610
O7 O 0.8605 0.1619 0.7610
O8 O 0.8605 0.3381 0.2610
```

Peak list (12 most intense, 10 to 90 degrees two-theta, by intensity)
2θ 22.94, I = 1000
2θ 11.15, I = 794
2θ 39.65, I = 700
2θ 27.73, I = 418
2θ 30.20, I = 373
2θ 40.61, I = 331
2θ 57.29, I = 293
2θ 42.24, I = 279
2θ 22.40, I = 274
2θ 29.08, I = 216
2θ 52.26, I = 195
2θ 46.27, I = 143